Computed XRD peak list
Compound: TlZnCd2F8
Radiation: Cu Ka
Structure: a structure optimized by DFT (PBE)

Structural model:
Unit cell a=5.1099 b=7.0972 c=5.2019 alpha=90.00 beta=90.24 gamma=90.00
Positions (direct):
Tl  0.0000  0.0000  0.0000
Zn  0.0000  0.5000  0.0000
Cd  0.5000  0.2638  0.5000
Cd  0.5000  0.7362  0.5000
F  0.1920  0.2807  0.1879
F  0.1920  0.7193  0.1879
F  0.2861  0.5000  0.7103
F  0.3174  0.0000  0.6800
F  0.6826  0.0000  0.3200
F  0.7139  0.5000  0.2897
F  0.8080  0.2807  0.8121
F  0.8080  0.7193  0.8121

Most intense lines, 2θ from 10° to 90°, by angle:
d 3.653, 24.37 deg, I 99.7; d 3.638, 24.47 deg, I 100.0; d 2.931, 30.49 deg, I 81.4; d 2.915, 30.67 deg, I 81.4; d 2.601, 34.48 deg, I 22.2; d 2.555, 35.12 deg, I 20.7; d 1.943, 46.76 deg, I 35.7; d 1.938, 46.87 deg, I 35.9; d 1.928, 47.13 deg, I 35.4; d 1.924, 47.25 deg, I 35.5; d 1.558, 59.32 deg, I 22.8; d 1.536, 60.27 deg, I 21.4